For ScCoHg4, a cell relaxed with GGA-PBE gives the simulated XRD peak list in this record (CuKα).

Atomic structure:
abc: 8.0318 8.0318 8.0318
angles: 90.00 90.00 90.00
Space group F-43m (No. 216)
Asymmetric unit:
Sc 0.0000 0.0000 0.0000 [4 per cell]
Co 0.2500 0.2500 0.7500 [4 per cell]
Hg 0.1248 0.1248 0.3752 [16 per cell]

Most intense lines, 15° ≤ 2θ ≤ 90°, low angle first:
d [Å]  Rel. int.  index
4.637  77  1 1 1
2.422  100  3 1 1
2.319  84  2 2 2
1.546  33  5 1 1
1.420  34  4 4 0
1.211  33  6 2 2